# K2CdMoO4
Calculated powder diffraction line list, CuKα. Input: a structure optimized by DFT (PBE+U).
Kinematic intensities with the Lorentz-polarization factor, no thermal factor.

Largest 6 diffraction maxima, by angle, 10° ≤ 2θ ≤ 90°:
2θ 17.2, I = 52; 2θ 23.7, I = 97; 2θ 29.4, I = 33; 2θ 30.3, I = 100; 2θ 33.8, I = 35; 2θ 46.0, I = 68

Atomic structure:
Lattice parameters (Å, degrees): 6.3866 6.3866 6.3866 108.03 108.03 112.40
Fractional coordinates of all 8 atoms:
K: 0.0000 0.0000 0.0000
K: 0.7500 0.2500 0.5000
Cd: 0.2500 0.7500 0.5000
Mo: 0.5000 0.5000 0.0000
O: 0.1781 0.2563 0.7402
O: 0.5160 0.4379 0.2598
O: 0.5621 0.8219 0.0781
O: 0.7437 0.4840 0.9219